No. 1
For Ta3Ga2MoC2, a DFT-relaxed cell (PBE, OQMD) gives the simulated PXRD pattern in this record (CuKα).
Intensities are scaled so that the largest is 100.

The 12 most intense peaks (2θ from 10° to 90°), by angle:
- 13.2 deg, d = 6.704 Å, I 13
- 26.6 deg, d = 3.352 Å, I 6
- 33.0 deg, d = 2.711 Å, I 24
- 33.7 deg, d = 2.657 Å, I 10
- 38.9 deg, d = 2.318 Å, I 100
- 40.4 deg, d = 2.235 Å, I 18
- 42.9 deg, d = 2.108 Å, I 4
- 53.1 deg, d = 1.724 Å, I 15
- 59.0 deg, d = 1.565 Å, I 26
- 72.4 deg, d = 1.306 Å, I 14
- 72.9 deg, d = 1.297 Å, I 16
- 73.9 deg, d = 1.282 Å, I 18

Atomic structure:
Cell lengths 3.130, 3.130, 13.408 Å; angles 90.00, 90.00, 120.00 degrees
Positions (direct):
Ta: 0.000 0.000 0.000
Ta: 0.000 0.000 0.322
Ta: 0.333 0.667 0.817
Ga: 0.000 0.000 0.653
Ga: 0.333 0.667 0.161
Mo: 0.333 0.667 0.498
C: 0.667 0.333 0.413
C: 0.667 0.333 0.909

No. 2
For GdCoSi3, a DFT-relaxed cell (PBE, OQMD) gives the simulated PXRD pattern in this record (CuKα).
Intensities are scaled so that the largest is 100.

The 12 most intense peaks (2θ from 10° to 90°), by angle:
- 16.8 deg, d = 5.263 Å, I 27
- 25.9 deg, d = 3.439 Å, I 23
- 31.1 deg, d = 2.879 Å, I 18
- 32.3 deg, d = 2.775 Å, I 13
- 34.1 deg, d = 2.630 Å, I 44
- 34.5 deg, d = 2.601 Å, I 100
- 45.1 deg, d = 2.012 Å, I 26
- 45.7 deg, d = 1.987 Å, I 20
- 46.0 deg, d = 1.973 Å, I 19
- 58.5 deg, d = 1.579 Å, I 26
- 66.1 deg, d = 1.414 Å, I 16
- 66.8 deg, d = 1.400 Å, I 12

Atomic structure:
Cell lengths 3.945, 3.974, 10.708 Å; angles 90.00, 100.60, 90.00 degrees
Positions (direct):
Gd: 0.000 0.000 0.000
Gd: 0.338 0.000 0.675
Co: 0.559 0.500 0.120
Co: 0.776 0.500 0.555
Si: 0.112 0.500 0.225
Si: 0.224 0.500 0.450
Si: 0.453 0.500 0.906
Si: 0.613 0.000 0.225
Si: 0.727 0.000 0.450
Si: 0.885 0.500 0.769

No. 3
For RbLu2CuTeS3, a DFT-relaxed cell (PBE, OQMD) gives the simulated PXRD pattern in this record (CuKα).
Intensities are scaled so that the largest is 100.

The 12 most intense peaks (2θ from 10° to 90°), by angle:
- 14.2 deg, d = 6.238 Å, I 43
- 22.9 deg, d = 3.881 Å, I 54
- 25.3 deg, d = 3.516 Å, I 26
- 25.6 deg, d = 3.480 Å, I 23
- 30.0 deg, d = 2.975 Å, I 41
- 32.0 deg, d = 2.793 Å, I 100
- 34.4 deg, d = 2.608 Å, I 32
- 39.6 deg, d = 2.276 Å, I 25
- 43.5 deg, d = 2.079 Å, I 22
- 43.8 deg, d = 2.066 Å, I 26
- 44.0 deg, d = 2.058 Å, I 32
- 45.0 deg, d = 2.016 Å, I 24

Atomic structure:
Cell lengths 7.246, 7.246, 14.065 Å; angles 90.00, 90.00, 147.69 degrees
Positions (direct):
Rb: 0.133 0.867 0.750
Rb: 0.867 0.133 0.250
Lu: 0.366 0.634 0.551
Lu: 0.366 0.634 0.949
Lu: 0.634 0.366 0.051
Lu: 0.634 0.366 0.449
Cu: 0.171 0.829 0.250
Cu: 0.829 0.171 0.750
Te: 0.441 0.559 0.750
Te: 0.559 0.441 0.250
S: 0.000 0.000 0.000
S: 0.000 0.000 0.500
S: 0.252 0.748 0.103
S: 0.252 0.748 0.397
S: 0.748 0.252 0.603
S: 0.748 0.252 0.897

No. 4
For BaGaSnPdAu, a DFT-relaxed cell (PBE, OQMD) gives the simulated PXRD pattern in this record (CuKα).
Intensities are scaled so that the largest is 100.

The 12 most intense peaks (2θ from 10° to 90°), by angle:
- 26.6 deg, d = 3.349 Å, I 35
- 30.9 deg, d = 2.891 Å, I 100
- 31.3 deg, d = 2.857 Å, I 54
- 38.0 deg, d = 2.368 Å, I 79
- 42.7 deg, d = 2.120 Å, I 39
- 45.6 deg, d = 1.988 Å, I 24
- 49.8 deg, d = 1.832 Å, I 54
- 54.8 deg, d = 1.675 Å, I 27
- 57.5 deg, d = 1.603 Å, I 18
- 60.8 deg, d = 1.523 Å, I 19
- 71.8 deg, d = 1.314 Å, I 17
- 81.2 deg, d = 1.185 Å, I 26

Atomic structure:
Cell lengths 4.737, 4.737, 10.951 Å; angles 90.00, 90.00, 90.00 degrees
Positions (direct):
Ba: 0.250 0.250 0.245
Ba: 0.750 0.750 0.755
Ga: 0.250 0.750 0.000
Ga: 0.750 0.250 0.000
Sn: 0.250 0.250 0.618
Sn: 0.750 0.750 0.382
Pd: 0.250 0.750 0.500
Pd: 0.750 0.250 0.500
Au: 0.250 0.250 0.882
Au: 0.750 0.750 0.118

No. 5
For Ba2ReP6W, a DFT-relaxed cell (PBE, OQMD) gives the simulated PXRD pattern in this record (CuKα).
Intensities are scaled so that the largest is 100.

The 12 most intense peaks (2θ from 10° to 90°), by angle:
- 15.8 deg, d = 5.610 Å, I 22
- 21.6 deg, d = 4.111 Å, I 26
- 25.5 deg, d = 3.488 Å, I 100
- 28.1 deg, d = 3.180 Å, I 65
- 30.2 deg, d = 2.962 Å, I 22
- 38.3 deg, d = 2.350 Å, I 47
- 41.3 deg, d = 2.186 Å, I 16
- 45.0 deg, d = 2.014 Å, I 25
- 46.6 deg, d = 1.949 Å, I 33
- 52.5 deg, d = 1.744 Å, I 26
- 55.8 deg, d = 1.648 Å, I 32
- 68.5 deg, d = 1.370 Å, I 17

Atomic structure:
Cell lengths 6.977, 6.977, 11.221 Å; angles 90.00, 90.00, 120.00 degrees
Positions (direct):
Ba: 0.333 0.667 0.083
Ba: 0.333 0.667 0.417
Ba: 0.667 0.333 0.583
Ba: 0.667 0.333 0.917
Re: 0.000 0.000 0.250
Re: 0.000 0.000 0.750
P: 0.125 0.328 0.864
P: 0.125 0.797 0.636
P: 0.203 0.328 0.636
P: 0.203 0.875 0.864
P: 0.328 0.125 0.364
P: 0.328 0.203 0.136
P: 0.672 0.797 0.864
P: 0.672 0.875 0.636
P: 0.797 0.125 0.136
P: 0.797 0.672 0.364
P: 0.875 0.203 0.364
P: 0.875 0.672 0.136
W: 0.333 0.667 0.750
W: 0.667 0.333 0.250

No. 6
For Lu2Zn3Mo4N3, a DFT-relaxed cell (PBE, OQMD) gives the simulated PXRD pattern in this record (CuKα).
Intensities are scaled so that the largest is 100.

The 12 most intense peaks (2θ from 10° to 90°), by angle:
- 31.2 deg, d = 2.867 Å, I 13
- 32.8 deg, d = 2.731 Å, I 17
- 33.4 deg, d = 2.686 Å, I 12
- 33.5 deg, d = 2.675 Å, I 26
- 35.0 deg, d = 2.566 Å, I 14
- 37.0 deg, d = 2.430 Å, I 12
- 38.0 deg, d = 2.368 Å, I 13
- 38.7 deg, d = 2.326 Å, I 100
- 38.8 deg, d = 2.319 Å, I 51
- 41.0 deg, d = 2.201 Å, I 26
- 42.9 deg, d = 2.108 Å, I 14
- 58.4 deg, d = 1.581 Å, I 17

Atomic structure:
Cell lengths 5.462, 5.462, 13.572 Å; angles 101.45, 101.45, 60.29 degrees
Positions (direct):
Lu: 0.039 0.873 0.613
Lu: 0.127 0.961 0.887
Lu: 0.873 0.039 0.113
Lu: 0.961 0.127 0.387
Zn: 0.086 0.398 0.750
Zn: 0.398 0.086 0.250
Zn: 0.431 0.569 0.250
Zn: 0.569 0.431 0.750
Zn: 0.602 0.914 0.750
Zn: 0.914 0.602 0.250
Mo: 0.197 0.366 0.075
Mo: 0.316 0.463 0.424
Mo: 0.366 0.197 0.575
Mo: 0.463 0.316 0.924
Mo: 0.537 0.684 0.076
Mo: 0.634 0.803 0.425
Mo: 0.684 0.537 0.576
Mo: 0.803 0.634 0.925
N: 0.000 0.500 0.500
N: 0.154 0.693 0.000
N: 0.307 0.846 0.500
N: 0.500 0.000 0.000
N: 0.693 0.154 0.500
N: 0.846 0.307 0.000

No. 7
For Hf2Ge3Au2, a DFT-relaxed cell (PBE, OQMD) gives the simulated PXRD pattern in this record (CuKα).
Intensities are scaled so that the largest is 100.

The 12 most intense peaks (2θ from 10° to 90°), by angle:
- 27.5 deg, d = 3.245 Å, I 72
- 37.0 deg, d = 2.432 Å, I 100
- 41.5 deg, d = 2.178 Å, I 81
- 42.6 deg, d = 2.120 Å, I 10
- 50.5 deg, d = 1.808 Å, I 14
- 56.7 deg, d = 1.622 Å, I 29
- 61.0 deg, d = 1.519 Å, I 22
- 63.5 deg, d = 1.465 Å, I 16
- 67.3 deg, d = 1.391 Å, I 13
- 72.7 deg, d = 1.301 Å, I 28
- 75.6 deg, d = 1.258 Å, I 14
- 78.7 deg, d = 1.216 Å, I 9

Atomic structure:
Cell lengths 8.846, 8.846, 8.846 Å; angles 28.51, 28.51, 28.51 degrees
Positions (direct):
Hf: 0.000 0.000 0.000
Hf: 0.495 0.495 0.495
Ge: 0.390 0.390 0.390
Ge: 0.619 0.619 0.619
Ge: 0.857 0.857 0.857
Au: 0.249 0.249 0.249
Au: 0.748 0.748 0.748

No. 8
For Li4ReO4, a DFT-relaxed cell (PBE, OQMD) gives the simulated PXRD pattern in this record (CuKα).
Intensities are scaled so that the largest is 100.

The 12 most intense peaks (2θ from 10° to 90°), by angle:
- 19.4 deg, d = 4.567 Å, I 66
- 21.6 deg, d = 4.106 Å, I 70
- 22.0 deg, d = 4.042 Å, I 86
- 22.2 deg, d = 4.006 Å, I 95
- 22.5 deg, d = 3.950 Å, I 100
- 24.2 deg, d = 3.675 Å, I 50
- 25.8 deg, d = 3.451 Å, I 51
- 26.3 deg, d = 3.391 Å, I 78
- 31.8 deg, d = 2.817 Å, I 74
- 37.7 deg, d = 2.386 Å, I 68
- 42.7 deg, d = 2.120 Å, I 39
- 44.1 deg, d = 2.054 Å, I 61

Atomic structure:
Cell lengths 5.096, 5.147, 7.730 Å; angles 71.99, 84.19, 68.18 degrees
Positions (direct):
Li: 0.215 0.328 0.266
Li: 0.241 0.974 0.085
Li: 0.243 0.555 0.927
Li: 0.243 0.757 0.498
Li: 0.757 0.243 0.502
Li: 0.757 0.445 0.073
Li: 0.759 0.026 0.915
Li: 0.785 0.672 0.734
Re: 0.249 0.141 0.701
Re: 0.751 0.859 0.299
O: 0.010 0.299 0.883
O: 0.019 0.906 0.702
O: 0.342 0.354 0.482
O: 0.484 0.806 0.893
O: 0.516 0.194 0.107
O: 0.658 0.646 0.518
O: 0.981 0.094 0.298
O: 0.990 0.701 0.117

No. 9
For Cu2Ag3, a DFT-relaxed cell (PBE, OQMD) gives the simulated PXRD pattern in this record (CuKα).
Intensities are scaled so that the largest is 100.

The 12 most intense peaks (2θ from 10° to 90°), by angle:
- 34.3 deg, d = 2.611 Å, I 14
- 39.3 deg, d = 2.290 Å, I 84
- 39.5 deg, d = 2.282 Å, I 100
- 40.5 deg, d = 2.226 Å, I 9
- 45.0 deg, d = 2.017 Å, I 57
- 47.6 deg, d = 1.911 Å, I 29
- 65.7 deg, d = 1.422 Å, I 10
- 67.5 deg, d = 1.387 Å, I 31
- 79.0 deg, d = 1.212 Å, I 11
- 79.3 deg, d = 1.208 Å, I 20
- 83.0 deg, d = 1.163 Å, I 20
- 85.0 deg, d = 1.141 Å, I 10

Atomic structure:
Cell lengths 2.844, 3.822, 14.298 Å; angles 90.00, 90.00, 90.00 degrees
Positions (direct):
Cu: 0.000 0.000 0.094
Cu: 0.000 0.000 0.906
Cu: 0.500 0.500 0.184
Cu: 0.500 0.500 0.816
Ag: 0.000 0.000 0.278
Ag: 0.000 0.000 0.500
Ag: 0.000 0.000 0.722
Ag: 0.500 0.500 0.000
Ag: 0.500 0.500 0.389
Ag: 0.500 0.500 0.611

No. 10
For Ag2PS3, a DFT-relaxed cell (PBE, OQMD) gives the simulated PXRD pattern in this record (CuKα).
Intensities are scaled so that the largest is 100.

The 12 most intense peaks (2θ from 10° to 90°), by angle:
- 14.8 deg, d = 6.003 Å, I 69
- 17.3 deg, d = 5.132 Å, I 88
- 24.8 deg, d = 3.591 Å, I 79
- 28.5 deg, d = 3.137 Å, I 100
- 29.8 deg, d = 3.001 Å, I 64
- 30.1 deg, d = 2.973 Å, I 54
- 33.7 deg, d = 2.661 Å, I 90
- 34.1 deg, d = 2.629 Å, I 45
- 35.0 deg, d = 2.560 Å, I 65
- 35.6 deg, d = 2.523 Å, I 81
- 42.4 deg, d = 2.130 Å, I 59
- 43.6 deg, d = 2.076 Å, I 58

Atomic structure:
Cell lengths 6.318, 11.204, 14.218 Å; angles 90.00, 90.00, 90.00 degrees
Positions (direct):
Ag: 0.024 0.187 0.112
Ag: 0.084 0.645 0.611
Ag: 0.089 0.380 0.634
Ag: 0.206 0.291 0.376
Ag: 0.294 0.709 0.876
Ag: 0.411 0.620 0.134
Ag: 0.416 0.355 0.111
Ag: 0.476 0.813 0.612
Ag: 0.524 0.313 0.888
Ag: 0.584 0.855 0.389
Ag: 0.589 0.120 0.366
Ag: 0.706 0.209 0.624
Ag: 0.794 0.791 0.124
Ag: 0.911 0.880 0.866
Ag: 0.916 0.145 0.889
Ag: 0.976 0.687 0.388
P: 0.064 0.002 0.458
P: 0.111 0.969 0.298
P: 0.389 0.031 0.798
P: 0.436 0.998 0.958
P: 0.564 0.498 0.542
P: 0.611 0.531 0.702
P: 0.889 0.469 0.202
P: 0.936 0.502 0.042
S: 0.091 0.665 0.035
S: 0.111 0.362 0.992
S: 0.145 0.987 0.016
S: 0.181 0.468 0.263
S: 0.217 0.886 0.751
S: 0.237 0.191 0.788
S: 0.263 0.809 0.288
S: 0.283 0.114 0.251
S: 0.319 0.532 0.763
S: 0.355 0.013 0.516
S: 0.389 0.638 0.492
S: 0.409 0.335 0.535
S: 0.591 0.835 0.965
S: 0.611 0.138 0.008
S: 0.645 0.513 0.984
S: 0.681 0.032 0.737
S: 0.717 0.614 0.249
S: 0.737 0.309 0.212
S: 0.763 0.691 0.712
S: 0.783 0.386 0.749
S: 0.819 0.968 0.237
S: 0.855 0.487 0.484
S: 0.889 0.862 0.508
S: 0.909 0.165 0.465

No. 11
For GdHoBi2Te2, a DFT-relaxed cell (PBE, OQMD) gives the simulated PXRD pattern in this record (CuKα).
Intensities are scaled so that the largest is 100.

The 12 most intense peaks (2θ from 10° to 90°), by angle:
- 28.7 deg, d = 3.108 Å, I 44
- 30.3 deg, d = 2.947 Å, I 100
- 34.7 deg, d = 2.585 Å, I 81
- 35.4 deg, d = 2.537 Å, I 28
- 41.1 deg, d = 2.196 Å, I 50
- 50.9 deg, d = 1.794 Å, I 34
- 55.3 deg, d = 1.661 Å, I 16
- 57.7 deg, d = 1.599 Å, I 16
- 59.5 deg, d = 1.553 Å, I 18
- 67.4 deg, d = 1.389 Å, I 21
- 68.3 deg, d = 1.374 Å, I 20
- 70.8 deg, d = 1.331 Å, I 23

Atomic structure:
Cell lengths 4.392, 4.392, 9.324 Å; angles 90.00, 90.00, 90.00 degrees
Positions (direct):
Gd: 0.000 0.000 0.000
Ho: 0.500 0.500 0.569
Bi: 0.000 0.500 0.285
Bi: 0.500 0.000 0.285
Te: 0.000 0.000 0.658
Te: 0.500 0.500 0.908

No. 12
For CuF2, a DFT-relaxed cell (PBE, OQMD) gives the simulated PXRD pattern in this record (CuKα).
Intensities are scaled so that the largest is 100.

The 12 most intense peaks (2θ from 10° to 90°), by angle:
- 27.7 deg, d = 3.223 Å, I 100
- 35.1 deg, d = 2.559 Å, I 67
- 40.4 deg, d = 2.232 Å, I 17
- 53.8 deg, d = 1.704 Å, I 34
- 54.0 deg, d = 1.699 Å, I 33
- 57.1 deg, d = 1.613 Å, I 10
- 57.2 deg, d = 1.610 Å, I 10
- 59.8 deg, d = 1.547 Å, I 10
- 67.1 deg, d = 1.394 Å, I 14
- 68.6 deg, d = 1.367 Å, I 11
- 69.1 deg, d = 1.360 Å, I 11
- 87.4 deg, d = 1.116 Å, I 10

Atomic structure:
Cell lengths 4.542, 3.093, 4.573 Å; angles 90.00, 90.11, 90.00 degrees
Positions (direct):
Cu: 0.000 0.000 0.000
Cu: 0.500 0.500 0.500
F: 0.202 0.500 0.205
F: 0.298 0.000 0.705
F: 0.702 0.000 0.295
F: 0.798 0.500 0.795

What did the second record say?
For GdCoSi3, a DFT-relaxed cell (PBE, OQMD) gives the simulated PXRD pattern in this record (CuKα).
Intensities are scaled so that the largest is 100.

The 12 most intense peaks (2θ from 10° to 90°), by angle:
- 16.8 deg, d = 5.263 Å, I 27
- 25.9 deg, d = 3.439 Å, I 23
- 31.1 deg, d = 2.879 Å, I 18
- 32.3 deg, d = 2.775 Å, I 13
- 34.1 deg, d = 2.630 Å, I 44
- 34.5 deg, d = 2.601 Å, I 100
- 45.1 deg, d = 2.012 Å, I 26
- 45.7 deg, d = 1.987 Å, I 20
- 46.0 deg, d = 1.973 Å, I 19
- 58.5 deg, d = 1.579 Å, I 26
- 66.1 deg, d = 1.414 Å, I 16
- 66.8 deg, d = 1.400 Å, I 12

Atomic structure:
Cell lengths 3.945, 3.974, 10.708 Å; angles 90.00, 100.60, 90.00 degrees
Positions (direct):
Gd: 0.000 0.000 0.000
Gd: 0.338 0.000 0.675
Co: 0.559 0.500 0.120
Co: 0.776 0.500 0.555
Si: 0.112 0.500 0.225
Si: 0.224 0.500 0.450
Si: 0.453 0.500 0.906
Si: 0.613 0.000 0.225
Si: 0.727 0.000 0.450
Si: 0.885 0.500 0.769